[1]
# MnGa6
Simulated X-ray diffraction stick pattern, λ = 1.5418 Å (Cu Kα). Input: DFT lattice parameters and positions (GGA-PBE).
Lines closer than 0.1° are merged.

Crystal structure
Cell lengths 7.6064, 6.5596, 8.9863 Å; angles 90.00, 90.00, 90.00 degrees
Space group Cmcm (No. 63)
Unique sites:
Mn 0.0000 0.0584 0.2500
Ga 0.0000 0.3739 0.1023
Ga 0.1727 0.0000 0.0000
Ga 0.1824 0.2704 0.7500

The 10 most intense peaks (2θ from 5° to 70°), by angle:
Position (°2θ)	intensity	index
33.84	94	0 2 2
34.98	54	1 1 3
38.05	36	3 1 0
39.40	100	3 1 1
40.80	41	0 2 3
41.54	83	2 2 2
43.04	39	1 3 0
43.23	93	3 1 2
44.26	97	1 1 4
46.98	37	2 0 4

***

[2]
# SmYI4
Simulated X-ray diffraction stick pattern, λ = 1.5418 Å (Cu Kα). Input: DFT lattice parameters and positions (GGA-PBE).
Lines closer than 0.1° are merged.

Crystal structure
Cell lengths 17.6788, 4.1693, 7.2346 Å; angles 90.00, 113.83, 90.00 degrees
Space group C2/m (No. 12)
Unique sites:
Sm 0.0000 0.0000 0.0000
Y 0.0000 0.5000 0.5000
I 0.1218 0.0000 0.7821
I 0.1238 0.5000 0.2948

The 10 most intense peaks (2θ from 5° to 70°), by angle:
Position (°2θ)	intensity	index
10.94	56	2 0 0
27.00	100	1 1 1
27.06	56	4 0 -2
33.19	47	3 1 1
33.31	46	6 0 -2
41.68	18	4 0 2
41.88	32	7 1 -1
43.35	32	3 1 -3
44.83	18	8 0 0
51.90	18	4 2 -2

***

[3]
# K3Ti3CrSe8
Simulated X-ray diffraction stick pattern, λ = 1.5418 Å (Cu Kα). Input: DFT lattice parameters and positions (GGA-PBE).
Lines closer than 0.1° are merged.

Crystal structure
Cell lengths 7.5020, 7.5020, 23.4019 Å; angles 90.00, 90.00, 120.00 degrees
Space group R-3m (No. 166, hexagonal axes)
Unique sites:
K 0.0000 0.5000 0.0000
Ti 0.0000 0.5000 0.5000
Cr 0.0000 0.0000 0.5000
Se 0.0000 0.0000 0.2303
Se 0.0011 0.5005 0.2283

The 10 most intense peaks (2θ from 5° to 70°), by angle:
Position (°2θ)	intensity	index
11.34	53	0 0 3
28.52	15	2 0 2
31.50	100	0 2 4
33.58	11	2 0 5
38.65	26	0 2 7
41.54	24	2 0 8
48.54	34	2 2 0
51.34	16	2 0 11
59.02	15	4 0 4
60.90	10	2 2 9